# 1
For La4SmS4, a PBE-relaxed structure gives the theoretical XRD peak list in this record (Cu Kα (λ = 1.5418 Å)).
Peak positions follow from Bragg's law for the DFT cell and can differ from measured ones.

Structure:
a b c (Å): 7.103 7.103 7.103
angles (deg): 99.80 99.80 131.27
Element x y z (fractional)
La: 0.101 0.698 0.799
La: 0.302 0.101 0.402
La: 0.698 0.899 0.598
La: 0.899 0.302 0.201
Sm: 0.500 0.500 0.000
S: 0.204 0.402 0.606
S: 0.402 0.796 0.198
S: 0.598 0.204 0.802
S: 0.796 0.598 0.394

Top 10 peaks for 2θ = 10–90°, by angle:
- 3.355 Å, 2θ 26.57, I 100.0
- 2.930 Å, 2θ 30.51, I 38.8
- 2.894 Å, 2θ 30.90, I 74.8
- 2.059 Å, 2θ 43.98, I 55.5
- 2.046 Å, 2θ 44.27, I 27.2
- 1.763 Å, 2θ 51.86, I 16.7
- 1.747 Å, 2θ 52.37, I 32.5
- 1.678 Å, 2θ 54.71, I 28.8
- 1.336 Å, 2θ 70.51, I 13.3
- 1.184 Å, 2θ 81.27, I 18.2



# 2
For Zr2MnAs, a PBE-relaxed structure gives the theoretical XRD peak list in this record (Cu Kα (λ = 1.5418 Å)).
Peak positions follow from Bragg's law for the DFT cell and can differ from measured ones.

Structure:
a b c (Å): 3.946 3.655 10.156
angles (deg): 90.00 90.00 90.00
Element x y z (fractional)
Zr: 0.000 0.000 0.000
Zr: 0.000 0.500 0.500
Zr: 0.500 0.000 0.288
Zr: 0.500 0.500 0.788
Mn: 0.000 0.000 0.730
Mn: 0.000 0.500 0.230
As: 0.500 0.000 0.570
As: 0.500 0.500 0.070

Top 10 peaks for 2θ = 10–90°, by angle:
- 2.593 Å, 2θ 34.59, I 100.0
- 2.539 Å, 2θ 35.35, I 25.7
- 2.484 Å, 2θ 36.17, I 32.3
- 2.135 Å, 2θ 42.33, I 26.9
- 2.102 Å, 2θ 43.03, I 52.5
- 1.973 Å, 2θ 46.00, I 25.1
- 1.828 Å, 2θ 49.90, I 19.6
- 1.545 Å, 2θ 59.87, I 14.4
- 1.341 Å, 2θ 70.19, I 13.5
- 1.113 Å, 2θ 87.65, I 14.0



# 3
For Ba3U2PbO9, a PBE-relaxed structure gives the theoretical XRD peak list in this record (Cu Kα (λ = 1.5418 Å)).
Peak positions follow from Bragg's law for the DFT cell and can differ from measured ones.

Structure:
a b c (Å): 6.359 6.359 7.791
angles (deg): 90.00 90.00 120.00
Element x y z (fractional)
Ba: 0.000 0.000 0.000
Ba: 0.333 0.667 0.646
Ba: 0.667 0.333 0.354
U: 0.333 0.667 0.159
U: 0.667 0.333 0.841
Pb: 0.000 0.000 0.500
O: 0.000 0.500 0.000
O: 0.180 0.359 0.317
O: 0.180 0.820 0.317
O: 0.359 0.180 0.683
O: 0.500 0.000 0.000
O: 0.500 0.500 0.000
O: 0.641 0.820 0.317
O: 0.820 0.180 0.683
O: 0.820 0.641 0.683

Top 10 peaks for 2θ = 10–90°, by angle:
- 4.497 Å, 2θ 19.74, I 11.6
- 3.180 Å, 2θ 28.06, I 100.0
- 2.248 Å, 2θ 40.10, I 27.3
- 2.011 Å, 2θ 45.08, I 5.9
- 1.836 Å, 2θ 49.66, I 42.4
- 1.590 Å, 2θ 58.01, I 17.7
- 1.499 Å, 2θ 61.90, I 3.0
- 1.422 Å, 2θ 65.66, I 19.1
- 1.298 Å, 2θ 72.86, I 5.9
- 1.202 Å, 2θ 79.80, I 22.0